Diffraction record for PaMn2CuO8. The powder X-ray diffraction pattern is computed, not measured: it uses a DFT-relaxed cell (GGA+U, Alexandria) and Cu Kα.
Lines closer than 0.1° are merged.

Cell and atoms:
abc: 5.0872 5.0872 11.0754
angles: 90.00 90.00 90.00
Space group I-4 (No. 82)
Unique sites:
Pa 0.0000 0.0000 0.0000 (multiplicity 2)
Mn 0.0000 0.0000 0.5000 (multiplicity 2)
Mn 0.0000 0.5000 0.2500 (multiplicity 2)
Cu 0.0000 0.5000 0.7500 (multiplicity 2)
O 0.1811 0.1904 0.8094 (multiplicity 8)
O 0.1821 0.7279 0.4344 (multiplicity 8)

Main lines, by angle (2θ from 10° to 90°):
two_theta  d_spacing  I (rel.)  index
19.20  4.623  50  1 0 1
29.61  3.017  100  1 1 2
32.33  2.769  21  0 0 4
35.29  2.544  19  2 0 0
40.48  2.229  18  1 2 1
48.61  1.873  26  2 0 4
55.99  1.642  18  1 1 6
59.87  1.545  31  3 1 2